Theoretical powder diffractogram of Pr2Y3Ho6 for λ = 1.5418 Å (Cu Kα), from a structure optimized by DFT (GGA-PBE).
No peak broadening, texture or thermal motion is included.

Main lines, sorted by position (2θ = 10–80°):
d_spacing  two_theta  I/Imax
8.290  10.7  27
3.115  28.7  100
2.763  32.4  24
2.611  34.3  94
2.377  37.8  60
1.802  50.7  27
1.479  62.8  22
1.413  66.1  28

Crystal structure
Cell: 4.754 4.754 33.160 Å, 90.00 90.00 90.00°
Space group I4/mmm (No. 139)
Inequivalent atoms, fractional coordinates:
Pr 0.000 0.000 0.046 [4 per cell]
Y 0.000 0.000 0.297 [4 per cell]
Y 0.000 0.000 0.500 [2 per cell]
Ho 0.000 0.000 0.193 [4 per cell]
Ho 0.000 0.500 0.122 [8 per cell]